This entry pairs a crystal structure of Rb3Np3MoS8 with its computed X-ray powder pattern. Radiation: Cu Kα X-rays. Structure: a cell relaxed with GGA-PBE.
Intensities are scaled so that the largest is 100.

Crystal structure
```
15
Lattice="6.8587 -3.9630 0.0000 6.8587 3.9630 0.0000 -4.5600 0.0000 7.8648" Properties=species:S:1:pos:R:3 pbc="T T T"
Rb 0.0000 0.0000 0.0000
Rb 3.4293 1.9815 0.0000
Rb 3.4293 -1.9815 0.0000
Np 1.1493 1.9815 3.9324
Np 1.1493 -1.9815 3.9324
Np 4.5787 0.0000 3.9324
Mo -2.2800 0.0000 3.9324
S 3.5073 2.1062 5.3543
S -0.1289 0.0000 5.3517
S 5.6500 2.1062 2.5104
S 2.2798 0.0000 2.3996
S 6.8775 0.0000 5.4652
S 3.5073 -2.1062 5.3543
S 9.2863 0.0000 2.5131
S 5.6500 -2.1062 2.5104
```

Most intense lines, 15 to 90 degrees two-theta, low angle first:
| Position (°2θ) | I (rel.) |
| --- | --- |
| 22.61 | 30.5 |
| 26.25 | 20.6 |
| 27.07 | 49.7 |
| 30.14 | 100.0 |
| 37.40 | 19.0 |
| 40.33 | 37.9 |
| 45.81 | 33.6 |
| 47.33 | 14.3 |
| 51.67 | 21.8 |
| 55.81 | 16.9 |